Structure and theoretical XRD peak list of Li3Cd4Ga (a cell relaxed with GGA-PBE; Cu Kα (λ = 1.5418 Å)).
Lines closer than 0.1° are merged.

Most intense lines, 10 to 90 degrees two-theta, most intense first:
2θ/deg  d/Å  Rel. int.
18.84  4.711  100
30.84  2.899  66
37.08  2.424  39
37.45  2.402  38
36.39  2.469  34
43.26  2.091  33
38.21  2.355  33
43.02  2.103  32

Crystal structure
Cell: 7.4468 7.4468 9.4218 Å, 128.65 128.65 23.25°
Element x y z (fractional)
Li 0.0000 0.0000 0.0000
Li 0.2120 0.2120 0.7128
Li 0.7880 0.7880 0.2872
Cd 0.3687 0.3687 0.1024
Cd 0.3697 0.3697 0.6390
Cd 0.6303 0.6303 0.3610
Cd 0.6313 0.6313 0.8976
Ga 0.5000 0.5000 0.5000

Structure and theoretical XRD peak list of Th2Sn5Pd3 (a cell relaxed with GGA-PBE; Cu Kα (λ = 1.5418 Å)).
Lines closer than 0.1° are merged.

Most intense lines, 10 to 90 degrees two-theta, most intense first:
2θ/deg  d/Å  Rel. int.
31.82  2.812  100
32.99  2.715  74
38.80  2.321  47
37.49  2.399  26
36.47  2.464  22
36.65  2.452  21
62.03  1.496  21
55.06  1.668  17

Crystal structure
Cell: 13.1999 13.1999 7.7434 Å, 90.00 90.00 159.75°
Element x y z (fractional)
Th 0.0215 0.9785 0.5000
Th 0.3289 0.6711 0.5248
Th 0.6711 0.3289 0.0248
Th 0.9785 0.0215 0.0000
Sn 0.1004 0.8996 0.8407
Sn 0.2012 0.7988 0.3397
Sn 0.2161 0.7839 0.7547
Sn 0.3816 0.6184 0.0298
Sn 0.4501 0.5499 0.6857
Sn 0.5499 0.4501 0.1857
Sn 0.6184 0.3816 0.5298
Sn 0.7839 0.2161 0.2547
Sn 0.7988 0.2012 0.8397
Sn 0.8996 0.1004 0.3407
Pd 0.1053 0.8947 0.2086
Pd 0.2764 0.7236 0.0591
Pd 0.4533 0.5467 0.3206
Pd 0.5467 0.4533 0.8206
Pd 0.7236 0.2764 0.5591
Pd 0.8947 0.1053 0.7086

Structure and theoretical XRD peak list of K4Nd3SmTe8 (a cell relaxed with GGA-PBE; Cu Kα (λ = 1.5418 Å)).
Lines closer than 0.1° are merged.

Most intense lines, 10 to 90 degrees two-theta, most intense first:
2θ/deg  d/Å  Rel. int.
26.57  3.355  100
39.09  2.305  37
10.71  8.258  36
36.73  2.447  36
47.89  1.900  20
63.46  1.466  17
33.85  2.648  15
60.18  1.538  13

Crystal structure
Cell: 9.8241 9.8241 9.8241 Å, 55.96 55.96 55.96°
Element x y z (fractional)
K 0.0000 0.0000 0.0000
K 0.0000 0.5000 0.5000
K 0.5000 0.0000 0.5000
K 0.5000 0.5000 0.0000
Nd 0.0000 0.0000 0.5000
Nd 0.0000 0.5000 0.0000
Nd 0.5000 0.0000 0.0000
Sm 0.5000 0.5000 0.5000
Te 0.2384 0.2384 0.2384
Te 0.2406 0.7366 0.7366
Te 0.2634 0.2634 0.7595
Te 0.2634 0.7594 0.2634
Te 0.7366 0.2405 0.7366
Te 0.7366 0.7366 0.2406
Te 0.7594 0.2634 0.2634
Te 0.7616 0.7616 0.7616

Structure and theoretical XRD peak list of CePmMn (a cell relaxed with GGA-PBE; Cu Kα (λ = 1.5418 Å)).
Lines closer than 0.1° are merged.

Most intense lines, 10 to 90 degrees two-theta, most intense first:
2θ/deg  d/Å  Rel. int.
31.75  2.818  100
31.97  2.800  60
33.68  2.661  37
42.70  2.118  32
28.15  3.170  27
60.16  1.538  20
35.72  2.514  20
49.95  1.826  19

Crystal structure
Cell: 6.7926 6.7926 7.7953 Å, 124.07 124.07 31.19°
Element x y z (fractional)
Ce 0.1580 0.1580 0.2873
Ce 0.8420 0.8420 0.7127
Pm 0.3976 0.3976 0.1988
Pm 0.6024 0.6024 0.8012
Mn 0.1133 0.1133 0.5062
Mn 0.8867 0.8867 0.4938

Structure and theoretical XRD peak list of TbAl2Pd9 (a cell relaxed with GGA-PBE; Cu Kα (λ = 1.5418 Å)).
Lines closer than 0.1° are merged.

Most intense lines, 10 to 90 degrees two-theta, most intense first:
2θ/deg  d/Å  Rel. int.
39.14  2.302  100
45.17  2.007  34
79.30  1.208  25
66.57  1.405  18
46.17  1.966  14
65.79  1.419  11
84.11  1.151  9
80.75  1.190  9

Crystal structure
Cell: 4.0147 4.0147 11.7972 Å, 90.00 90.00 90.00°
Element x y z (fractional)
Tb 0.0000 0.0000 0.0000
Al 0.0000 0.0000 0.3431
Al 0.0000 0.0000 0.6569
Pd 0.0000 0.5000 0.1830
Pd 0.0000 0.5000 0.5000
Pd 0.0000 0.5000 0.8170
Pd 0.5000 0.0000 0.1830
Pd 0.5000 0.0000 0.5000
Pd 0.5000 0.0000 0.8170
Pd 0.5000 0.5000 0.0000
Pd 0.5000 0.5000 0.3401
Pd 0.5000 0.5000 0.6599

Structure and theoretical XRD peak list of Sr3Np4N9 (a cell relaxed with GGA-PBE; Cu Kα (λ = 1.5418 Å)).
Lines closer than 0.1° are merged.

Most intense lines, 10 to 90 degrees two-theta, most intense first:
2θ/deg  d/Å  Rel. int.
29.75  3.003  100
30.44  2.937  82
18.48  4.800  48
43.08  2.100  40
53.23  1.721  37
44.52  2.035  29
52.80  1.734  22
70.44  1.337  20

Crystal structure
Cell: 8.9977 8.9977 8.9977 Å, 39.00 39.00 39.00°
Element x y z (fractional)
Sr 0.0000 0.0000 0.0000
Sr 0.4184 0.4184 0.4184
Sr 0.5816 0.5816 0.5816
Np 0.1553 0.1553 0.1553
Np 0.2834 0.2834 0.2834
Np 0.7166 0.7166 0.7166
Np 0.8447 0.8447 0.8447
N 0.0000 0.4519 0.5481
N 0.0207 0.5354 0.1170
N 0.1170 0.0207 0.5354
N 0.4519 0.5481 0.0000
N 0.4646 0.9793 0.8830
N 0.5354 0.1170 0.0207
N 0.5481 0.0000 0.4519
N 0.8830 0.4646 0.9793
N 0.9793 0.8830 0.4646

Structure and theoretical XRD peak list of Nd2Er4In (a cell relaxed with GGA-PBE; Cu Kα (λ = 1.5418 Å)).
Lines closer than 0.1° are merged.

Most intense lines, 10 to 90 degrees two-theta, most intense first:
2θ/deg  d/Å  Rel. int.
32.48  2.756  100
33.25  2.694  60
50.59  1.804  38
32.13  2.786  32
61.21  1.514  31
28.61  3.120  27
61.44  1.509  19
42.32  2.136  19

Crystal structure
Cell: 19.6129 19.6129 19.6129 Å, 10.56 10.56 10.56°
Element x y z (fractional)
Nd 0.1936 0.1936 0.1936
Nd 0.8064 0.8064 0.8064
Er 0.0906 0.0906 0.0906
Er 0.2909 0.2909 0.2909
Er 0.7091 0.7091 0.7091
Er 0.9094 0.9094 0.9094
In 0.0000 0.0000 0.0000

Structure and theoretical XRD peak list of Sm2Zn12Ag5 (a cell relaxed with GGA-PBE; Cu Kα (λ = 1.5418 Å)).
Lines closer than 0.1° are merged.

Most intense lines, 10 to 90 degrees two-theta, most intense first:
2θ/deg  d/Å  Rel. int.
39.27  2.294  100
38.99  2.310  85
40.06  2.251  65
44.07  2.055  51
33.60  2.667  44
40.30  2.238  30
57.14  1.612  29
70.63  1.334  26

Crystal structure
Cell: 6.9790 6.9790 6.9790 Å, 82.90 82.90 82.90°
Element x y z (fractional)
Sm 0.1592 0.1592 0.1592
Sm 0.8408 0.8408 0.8408
Zn 0.1477 0.1477 0.6674
Zn 0.1477 0.6674 0.1477
Zn 0.1993 0.5000 0.8007
Zn 0.1993 0.8007 0.5000
Zn 0.3326 0.8523 0.8523
Zn 0.5000 0.1993 0.8007
Zn 0.5000 0.8007 0.1993
Zn 0.6674 0.1477 0.1477
Zn 0.8007 0.1993 0.5000
Zn 0.8007 0.5000 0.1993
Zn 0.8523 0.3326 0.8523
Zn 0.8523 0.8523 0.3326
Ag 0.0000 0.5000 0.5000
Ag 0.3970 0.3970 0.3970
Ag 0.5000 0.0000 0.5000
Ag 0.5000 0.5000 0.0000
Ag 0.6030 0.6030 0.6030